Calculated X-ray diffraction stick pattern of YScP2O8 for Cu Kα, from a structure optimized by DFT (GGA-PBE).
Kinematic intensities with the Lorentz-polarization factor, no thermal factor.

The 12 most intense peaks (2θ from 10° to 90°), in order of rising 2θ:
2θ (°)  intensity  index
13.3  43  0 0 1
19.8  100  1 0 0
23.9  85  0 1 1
33.5  90  0 1 2
34.6  89  1 1 0
37.2  39  1 1 1
44.3  45  1 1 2
45.5  18  1 0 3
48.9  63  2 0 2
61.3  28  1 2 2
66.7  18  1 1 4
73.0  21  2 2 0

Crystal structure
```
data_YScP2O8
_cell_length_a 5.1819
_cell_length_b 5.1819
_cell_length_c 6.6692
_cell_angle_alpha 90.00
_cell_angle_beta 90.00
_cell_angle_gamma 120.00
_symmetry_space_group_name_H-M 'P -3 m 1'
_symmetry_Int_Tables_number 164
_symmetry_space_group_name_Hall '-P 3 2"'
loop_
_atom_site_label
_atom_site_type_symbol
_atom_site_fract_x
_atom_site_fract_y
_atom_site_fract_z
_atom_site_occupancy
Y1 Y 0.0000 0.0000 0.0000 1
Sc1 Sc 0.0000 0.0000 0.5000 1
P1 P 0.3333 0.6667 0.2083 1
O1 O 0.1702 0.3405 0.2866 1
O2 O 0.3333 0.6667 0.9800 1
```

=====

Calculated X-ray diffraction stick pattern of CaOs4Pt for Cu Kα, from a structure optimized by DFT (GGA-PBE).
Kinematic intensities with the Lorentz-polarization factor, no thermal factor.

The 12 most intense peaks (2θ from 10° to 90°), in order of rising 2θ:
2θ (°)  intensity  index
20.8  33  1 1 1
24.0  6  2 0 0
34.3  14  2 2 0
40.4  100  3 1 1
42.3  56  2 2 2
49.2  13  4 0 0
54.0  8  3 3 1
65.5  32  3 3 3
72.2  29  4 4 0
76.1  6  5 3 1
86.1  12  5 3 3
87.4  22  6 2 2

Crystal structure
```
data_CaOs4Pt
_cell_length_a 7.403
_cell_length_b 7.403
_cell_length_c 7.403
_cell_angle_alpha 90.00
_cell_angle_beta 90.00
_cell_angle_gamma 90.00
_symmetry_space_group_name_H-M 'F -4 3 m'
_symmetry_Int_Tables_number 216
_symmetry_space_group_name_Hall 'F -4 2 3'
loop_
_atom_site_label
_atom_site_type_symbol
_atom_site_fract_x
_atom_site_fract_y
_atom_site_fract_z
_atom_site_occupancy
Ca1 Ca 0.000 0.000 0.000 1
Os1 Os 0.124 0.124 0.624 1
Pt1 Pt 0.250 0.250 0.250 1
```